Structure and simulated XRD peak list of Na2UW2O10 (a crystal structure in Alexandria, relaxed with PBE+U; Cu Kα (λ = 1.5418 Å)).
Neutral-atom scattering factors, no anomalous dispersion.

Atomic structure:
```
data_Na2UW2O10
_symmetry_space_group_name_H-M 'P -1'
_symmetry_Int_Tables_number 2
_cell_length_a 7.2301
_cell_length_b 7.6358
_cell_length_c 8.5552
_cell_angle_alpha 90.06
_cell_angle_beta 91.40
_cell_angle_gamma 105.78
loop_
_symmetry_equiv_pos_as_xyz
'x,y,z'
'-x,-y,-z'
loop_
_atom_site_label
_atom_site_fract_x
_atom_site_fract_y
_atom_site_fract_z
Na1 0.1011 0.3978 0.2531
Na2 0.1166 0.9111 0.2688
U1 0.4902 0.2483 0.5254
W1 0.3395 0.4577 0.8591
W2 0.3403 0.9596 0.8587
O1 0.0870 0.3724 0.8191
O2 0.0886 0.9144 0.8138
O3 0.2371 0.1835 0.4534
O4 0.2557 0.6851 0.4050
O5 0.3326 0.7068 0.8658
O6 0.3497 0.4325 0.0765
O7 0.3496 0.9915 0.0756
O8 0.3998 0.2243 0.8089
O9 0.4413 0.5106 0.6423
O10 0.4452 0.9600 0.6427
```

The 12 most intense peaks (2θ from 10° to 90°), by angle:
12.73°, rel. 100.0, (1 0 0); 16.63°, rel. 32.4, (1 0 1); 24.15°, rel. 41.7, (1 0 -2); 26.29°, rel. 62.8, (0 2 -1); 27.94°, rel. 34.1, (2 0 1); 31.38°, rel. 19.7, (0 0 3); 31.85°, rel. 13.5, (-2 2 1); 32.10°, rel. 25.2, (1 2 -1); 32.25°, rel. 12.5, (0 2 2); 32.77°, rel. 12.1, (2 0 -2); 47.64°, rel. 12.3, (1 -4 0); 49.13°, rel. 13.9, (0 2 -4)